The following is a computed powder X-ray diffraction pattern of SmP2Pd7Pb2. It was derived from the GGA-PBE geometry in Alexandria, using a wavelength of 1.5418 Å.
No peak broadening, texture or thermal motion is included.

Atomic structure:
abc: 5.958 6.950 11.464
angles: 90.00 95.51 90.00
Space group C2/m (No. 12)
One atom of each set of equivalent atoms:
Sm 0.000 0.000 0.000 (multiplicity 2)
P 0.178 0.500 0.195 (multiplicity 4)
Pd 0.000 0.500 0.000 (multiplicity 2)
Pd 0.128 0.500 0.395 (multiplicity 4)
Pd 0.146 0.296 0.804 (multiplicity 8)
Pb 0.131 0.000 0.379 (multiplicity 4)

Principal peaks in the range 10 to 80 degrees two-theta, most intense first:
| d_spacing | Position (°2θ) | Rel. int. |
| --- | --- | --- |
| 2.244 | 40.18 | 100.0 |
| 2.566 | 34.97 | 92.1 |
| 2.534 | 35.43 | 88.2 |
| 2.282 | 39.48 | 72.5 |
| 2.456 | 36.59 | 62.1 |
| 2.968 | 30.11 | 59.3 |
| 3.475 | 25.64 | 46.5 |
| 1.509 | 61.43 | 35.0 |
| 1.710 | 53.61 | 26.2 |
| 1.340 | 70.22 | 23.7 |
| 1.738 | 52.68 | 23.7 |
| 3.324 | 26.82 | 23.0 |

The following is a computed powder X-ray diffraction pattern of Sc2Cu2O5. It was derived from the GGA-PBE geometry in Alexandria, using a wavelength of 1.5418 Å.
No peak broadening, texture or thermal motion is included.

Atomic structure:
abc: 5.651 3.412 5.860
angles: 90.00 105.74 90.00
Space group Pm (No. 6)
One atom of each set of equivalent atoms:
Sc 0.000 0.000 0.000 (multiplicity 1)
Sc 0.484 0.500 0.936 (multiplicity 1)
Cu 0.002 0.500 0.484 (multiplicity 1)
Cu 0.487 0.000 0.473 (multiplicity 1)
O 0.093 0.500 0.813 (multiplicity 1)
O 0.375 0.500 0.511 (multiplicity 1)
O 0.386 0.000 0.137 (multiplicity 1)
O 0.632 0.000 0.801 (multiplicity 1)
O 0.866 0.500 0.160 (multiplicity 1)

Principal peaks in the range 10 to 80 degrees two-theta, most intense first:
| d_spacing | Position (°2θ) | Rel. int. |
| --- | --- | --- |
| 2.738 | 32.71 | 100.0 |
| 2.719 | 32.94 | 49.3 |
| 2.820 | 31.73 | 39.1 |
| 1.647 | 55.81 | 33.1 |
| 2.434 | 36.93 | 28.4 |
| 1.691 | 54.23 | 24.6 |
| 1.706 | 53.72 | 18.4 |
| 2.891 | 30.94 | 16.2 |
| 1.736 | 52.72 | 15.5 |
| 2.293 | 39.29 | 14.4 |
| 1.481 | 62.72 | 13.6 |
| 1.445 | 64.47 | 12.0 |

The following is a computed powder X-ray diffraction pattern of Cu12NiPt2. It was derived from the GGA-PBE geometry in Alexandria, using a wavelength of 1.5418 Å.
No peak broadening, texture or thermal motion is included.

Atomic structure:
abc: 2.599 4.138 18.314
angles: 90.00 90.00 90.00
Space group Pmmm (No. 47)
One atom of each set of equivalent atoms:
Cu 0.000 0.000 0.064 (multiplicity 2)
Cu 0.000 0.000 0.431 (multiplicity 2)
Cu 0.500 0.000 0.180 (multiplicity 2)
Cu 0.500 0.000 0.311 (multiplicity 2)
Cu 0.500 0.500 0.107 (multiplicity 2)
Cu 0.500 0.500 0.383 (multiplicity 2)
Ni 0.000 0.500 0.500 (multiplicity 1)
Pt 0.000 0.500 0.247 (multiplicity 2)

Principal peaks in the range 10 to 80 degrees two-theta, most intense first:
| d_spacing | Position (°2θ) | Rel. int. |
| --- | --- | --- |
| 2.003 | 45.27 | 100.0 |
| 2.140 | 42.23 | 94.2 |
| 1.984 | 45.74 | 70.2 |
| 2.069 | 43.75 | 66.5 |
| 2.260 | 39.88 | 50.0 |
| 1.526 | 60.68 | 31.2 |
| 3.771 | 23.59 | 28.4 |
| 1.979 | 45.86 | 26.6 |
| 2.456 | 36.58 | 24.5 |
| 3.052 | 29.26 | 23.8 |
| 1.430 | 65.24 | 18.8 |
| 1.497 | 61.99 | 16.7 |

The following is a computed powder X-ray diffraction pattern of ThBe17Rh. It was derived from the GGA-PBE geometry in Alexandria, using a wavelength of 1.5418 Å.
No peak broadening, texture or thermal motion is included.

Atomic structure:
abc: 7.6703 7.6703 11.0392
angles: 90.00 90.00 120.00
Space group R3m (No. 160, hexagonal axes)
One atom of each set of equivalent atoms:
Th 0.0000 0.0000 0.0000 (multiplicity 3)
Be 0.0000 0.0000 0.2552 (multiplicity 3)
Be 0.0000 0.0000 0.4472 (multiplicity 3)
Be 0.0019 0.5009 0.5027 (multiplicity 9)
Be 0.0103 0.2926 0.3503 (multiplicity 18)
Be 0.0107 0.5054 0.8463 (multiplicity 9)
Be 0.0299 0.5149 0.1985 (multiplicity 9)
Rh 0.0000 0.0000 0.6683 (multiplicity 3)

Principal peaks in the range 10 to 80 degrees two-theta, most intense first:
| d_spacing | Position (°2θ) | Rel. int. |
| --- | --- | --- |
| 3.835 | 23.19 | 100.0 |
| 2.655 | 33.76 | 90.1 |
| 5.692 | 15.57 | 79.2 |
| 4.245 | 20.93 | 46.6 |
| 1.897 | 47.95 | 43.0 |
| 3.680 | 24.19 | 30.9 |
| 2.214 | 40.75 | 30.8 |
| 1.659 | 55.40 | 26.3 |
| 2.448 | 36.71 | 25.5 |
| 3.181 | 28.06 | 24.9 |
| 1.349 | 69.72 | 23.6 |
| 1.918 | 47.41 | 23.3 |

The following is a computed powder X-ray diffraction pattern of TiFeAg. It was derived from the GGA-PBE geometry in Alexandria, using a wavelength of 1.5418 Å.
No peak broadening, texture or thermal motion is included.

Atomic structure:
abc: 4.4019 4.4019 17.4844
angles: 90.00 90.00 120.00
Space group R-3m (No. 166, hexagonal axes)
One atom of each set of equivalent atoms:
Ti 0.0000 0.0000 0.0850 (multiplicity 6)
Fe 0.0000 0.0000 0.2050 (multiplicity 6)
Ag 0.0000 0.0000 0.3667 (multiplicity 6)

Principal peaks in the range 10 to 80 degrees two-theta, most intense first:
| d_spacing | Position (°2θ) | Rel. int. |
| --- | --- | --- |
| 2.201 | 41.01 | 100.0 |
| 2.089 | 43.31 | 68.0 |
| 2.873 | 31.13 | 55.5 |
| 1.248 | 76.29 | 22.8 |
| 1.515 | 61.16 | 22.6 |
| 2.577 | 34.81 | 17.7 |
| 5.828 | 15.20 | 16.3 |
| 1.271 | 74.70 | 15.1 |
| 1.467 | 63.40 | 12.2 |
| 1.747 | 52.37 | 12.0 |
| 3.494 | 25.49 | 11.5 |
| 1.368 | 68.58 | 10.3 |

The following is a computed powder X-ray diffraction pattern of Na5Cd2InHg2. It was derived from the GGA-PBE geometry in Alexandria, using a wavelength of 1.5418 Å.
No peak broadening, texture or thermal motion is included.

Atomic structure:
abc: 10.496 10.496 4.992
angles: 90.00 90.00 90.00
Space group P4/mbm (No. 127)
One atom of each set of equivalent atoms:
Na 0.000 0.500 0.000 (multiplicity 2)
Na 0.103 0.185 0.000 (multiplicity 8)
Cd 0.162 0.662 0.500 (multiplicity 4)
In 0.000 0.000 0.500 (multiplicity 2)
Hg 0.134 0.366 0.500 (multiplicity 4)

Principal peaks in the range 10 to 80 degrees two-theta, most intense first:
| d_spacing | Position (°2θ) | Rel. int. |
| --- | --- | --- |
| 2.764 | 32.39 | 100.0 |
| 4.992 | 17.77 | 75.0 |
| 3.319 | 26.86 | 43.7 |
| 2.496 | 35.98 | 26.0 |
| 1.488 | 62.40 | 24.9 |
| 1.995 | 45.47 | 21.4 |
| 2.515 | 35.70 | 18.8 |
| 2.323 | 38.77 | 17.3 |
| 2.624 | 34.17 | 14.8 |
| 2.217 | 40.70 | 14.7 |
| 1.739 | 52.62 | 14.1 |
| 4.694 | 18.91 | 13.0 |